[1]
Diffraction record for Ba2CuBO. The powder X-ray diffraction pattern is simulated, not measured: it uses the GGA-PBE geometry in Alexandria and λ = 1.5418 Å (Cu Kα).
Kinematic intensities with the Lorentz-polarization factor, no thermal factor.

Most intense lines, 2θ from 10° to 90°, in order of rising 2θ:
- hkl 1 1 0, d = 4.139 Å, 2θ 21.47, intensity 37
- hkl 0 0 1, d = 3.434 Å, 2θ 25.95, intensity 15
- hkl 2 0 0, d = 2.927 Å, 2θ 30.55, intensity 73
- hkl 1 1 1, d = 2.643 Å, 2θ 33.92, intensity 100
- hkl 2 0 1, d = 2.227 Å, 2θ 40.50, intensity 18
- hkl 2 2 0, d = 2.069 Å, 2θ 43.74, intensity 26
- hkl 3 1 1, d = 1.629 Å, 2θ 56.48, intensity 45
- hkl 2 0 2, d = 1.481 Å, 2θ 62.74, intensity 17
- hkl 2 2 2, d = 1.321 Å, 2θ 71.38, intensity 12
- hkl 4 2 0, d = 1.309 Å, 2θ 72.18, intensity 11

Atomic structure:
abc: 5.8532 5.8532 3.4339
angles: 90.00 90.00 90.00
Space group P4/mmm (No. 123)
Asymmetric unit:
Ba: 0.0000 0.5000 0.0000
Cu: 0.0000 0.0000 0.5000
B: 0.5000 0.5000 0.0000
O: 0.5000 0.5000 0.5000

[2]
Diffraction record for TbSeO4. The powder X-ray diffraction pattern is simulated, not measured: it uses the GGA-PBE geometry in Alexandria and λ = 1.5418 Å (Cu Kα).
Kinematic intensities with the Lorentz-polarization factor, no thermal factor.

Most intense lines, 2θ from 10° to 90°, in order of rising 2θ:
- hkl 1 1 -1, d = 4.830 Å, 2θ 18.37, intensity 17
- hkl 2 0 0, d = 3.925 Å, 2θ 22.65, intensity 100
- hkl 0 2 0, d = 3.636 Å, 2θ 24.48, intensity 85
- hkl 1 1 -2, d = 2.943 Å, 2θ 30.37, intensity 75
- hkl 2 2 0, d = 2.668 Å, 2θ 33.60, intensity 44
- hkl 3 1 -2, d = 2.613 Å, 2θ 34.32, intensity 47
- hkl 1 1 2, d = 2.161 Å, 2θ 41.81, intensity 32
- hkl 1 3 -2, d = 1.936 Å, 2θ 46.93, intensity 33
- hkl 3 3 -2, d = 1.833 Å, 2θ 49.75, intensity 20
- hkl 1 3 2, d = 1.654 Å, 2θ 55.56, intensity 19

Atomic structure:
abc: 9.3152 7.2722 6.5894
angles: 90.00 122.57 90.00
Space group Cm (No. 8)
Asymmetric unit:
Tb: 0.0000 0.0000 0.0000
Tb: 0.0106 0.5000 0.7214
Se: 0.0307 0.0000 0.5250
Se: 0.0597 0.5000 0.2491
O: 0.0078 0.3240 0.0370
O: 0.0286 0.1736 0.6914
O: 0.1970 0.0000 0.4913
O: 0.2446 0.5000 0.7548
O: 0.3684 0.5000 0.2395
O: 0.3942 0.0000 0.2956

[3]
Diffraction record for Pr2YEr5Th. The powder X-ray diffraction pattern is simulated, not measured: it uses the GGA-PBE geometry in Alexandria and λ = 1.5418 Å (Cu Kα).
Kinematic intensities with the Lorentz-polarization factor, no thermal factor.

Most intense lines, 2θ from 10° to 90°, in order of rising 2θ:
- hkl 2 1 3, d = 3.102 Å, 2θ 28.78, intensity 41
- hkl 2 2 0, d = 3.074 Å, 2θ 29.05, intensity 55
- hkl 2 0 4, d = 2.886 Å, 2θ 30.98, intensity 100
- hkl 3 1 0, d = 2.749 Å, 2θ 32.57, intensity 21
- hkl 3 2 1, d = 2.383 Å, 2θ 37.76, intensity 14
- hkl 4 0 2, d = 2.091 Å, 2θ 43.27, intensity 18
- hkl 0 0 8, d = 1.930 Å, 2θ 47.09, intensity 11
- hkl 4 2 4, d = 1.736 Å, 2θ 52.72, intensity 26
- hkl 2 2 8, d = 1.635 Å, 2θ 56.28, intensity 12
- hkl 5 1 4, d = 1.560 Å, 2θ 59.24, intensity 10

Atomic structure:
abc: 8.6944 8.6944 15.4398
angles: 90.00 90.00 90.00
Space group I4/mcm (No. 140)
Asymmetric unit:
Pr: 0.1169 0.3831 0.0000
Y: 0.0000 0.5000 0.2500
Er: 0.0000 0.0000 0.0000
Er: 0.2144 0.2856 0.3595
Th: 0.0000 0.0000 0.2500

[4]
Diffraction record for RbSe4. The powder X-ray diffraction pattern is simulated, not measured: it uses the GGA-PBE geometry in Alexandria and λ = 1.5418 Å (Cu Kα).
Kinematic intensities with the Lorentz-polarization factor, no thermal factor.

Most intense lines, 2θ from 10° to 90°, in order of rising 2θ:
- hkl 0 0 1, d = 5.539 Å, 2θ 16.00, intensity 27
- hkl 0 1 0, d = 5.190 Å, 2θ 17.09, intensity 42
- hkl 1 1 2, d = 3.107 Å, 2θ 28.73, intensity 53
- hkl 1 0 -1, d = 3.078 Å, 2θ 29.01, intensity 100
- hkl 1 0 2, d = 3.042 Å, 2θ 29.36, intensity 46
- hkl 0 2 1, d = 2.786 Å, 2θ 32.13, intensity 21
- hkl 2 0 1, d = 2.735 Å, 2θ 32.74, intensity 58
- hkl 0 1 3, d = 1.992 Å, 2θ 45.54, intensity 15
- hkl 1 3 3, d = 1.644 Å, 2θ 55.94, intensity 19
- hkl 2 -2 2, d = 1.626 Å, 2θ 56.61, intensity 15

Atomic structure:
abc: 5.4734 5.6029 6.5726
angles: 69.22 65.43 88.17
Space group P-1 (No. 2)
Asymmetric unit:
Rb: 0.0000 0.0000 0.0000
Se: 0.2866 0.7859 0.4435
Se: 0.3450 0.2198 0.2998

[5]
Diffraction record for TiAlB. The powder X-ray diffraction pattern is simulated, not measured: it uses the GGA-PBE geometry in Alexandria and λ = 1.5418 Å (Cu Kα).
Kinematic intensities with the Lorentz-polarization factor, no thermal factor.

Most intense lines, 2θ from 10° to 90°, in order of rising 2θ:
- hkl 0 1 3, d = 2.993 Å, 2θ 29.85, intensity 23
- hkl 0 0 4, d = 2.872 Å, 2θ 31.14, intensity 50
- hkl 1 1 0, d = 2.631 Å, 2θ 34.07, intensity 100
- hkl 0 2 0, d = 2.398 Å, 2θ 37.51, intensity 41
- hkl 1 1 4, d = 1.940 Å, 2θ 46.82, intensity 84
- hkl 0 2 4, d = 1.841 Å, 2θ 49.51, intensity 36
- hkl 2 0 0, d = 1.574 Å, 2θ 58.67, intensity 12
- hkl 1 3 0, d = 1.425 Å, 2θ 65.48, intensity 17
- hkl 1 3 4, d = 1.277 Å, 2θ 74.28, intensity 14
- hkl 2 2 4, d = 1.196 Å, 2θ 80.26, intensity 16

Atomic structure:
abc: 3.1470 4.7967 11.4893
angles: 90.00 90.00 90.00
Space group Immm (No. 71)
Asymmetric unit:
Ti: 0.0000 0.0000 0.1407
Al: 0.0000 0.0000 0.3788
B: 0.0000 0.3268 0.0000

[6]
Diffraction record for Pr2Dy3Th3. The powder X-ray diffraction pattern is simulated, not measured: it uses the GGA-PBE geometry in Alexandria and λ = 1.5418 Å (Cu Kα).
Kinematic intensities with the Lorentz-polarization factor, no thermal factor.

Most intense lines, 2θ from 10° to 90°, in order of rising 2θ:
- hkl 2 1 0, d = 2.994 Å, 2θ 29.84, intensity 100
- hkl 1 1 1, d = 2.859 Å, 2θ 31.29, intensity 86
- hkl 2 0 1, d = 2.689 Å, 2θ 33.32, intensity 37
- hkl 3 0 0, d = 2.641 Å, 2θ 33.95, intensity 19
- hkl 2 1 1, d = 2.318 Å, 2θ 38.85, intensity 36
- hkl 3 1 1, d = 1.884 Å, 2θ 48.30, intensity 20
- hkl 0 0 2, d = 1.831 Å, 2θ 49.79, intensity 13
- hkl 3 2 1, d = 1.628 Å, 2θ 56.52, intensity 19
- hkl 2 1 2, d = 1.563 Å, 2θ 59.11, intensity 56
- hkl 6 1 1, d = 1.147 Å, 2θ 84.43, intensity 14

Atomic structure:
abc: 9.1481 9.1481 3.6626
angles: 90.00 90.00 120.00
Space group P-62m (No. 189)
Asymmetric unit:
Pr: 0.3333 0.6667 0.0000
Dy: 0.0000 0.3936 0.5000
Th: 0.0000 0.7762 0.0000

[7]
Diffraction record for AsIO4. The powder X-ray diffraction pattern is simulated, not measured: it uses the GGA-PBE geometry in Alexandria and λ = 1.5418 Å (Cu Kα).
Kinematic intensities with the Lorentz-polarization factor, no thermal factor.

Most intense lines, 2θ from 10° to 90°, in order of rising 2θ:
- hkl 1 1 0, d = 4.633 Å, 2θ 19.16, intensity 25
- hkl 1 1 1, d = 4.036 Å, 2θ 22.02, intensity 100
- hkl 2 0 -2, d = 3.724 Å, 2θ 23.89, intensity 30
- hkl 1 1 -2, d = 3.632 Å, 2θ 24.51, intensity 10
- hkl 2 0 2, d = 2.988 Å, 2θ 29.91, intensity 18
- hkl 1 1 -3, d = 2.889 Å, 2θ 30.95, intensity 21
- hkl 3 1 -1, d = 2.607 Å, 2θ 34.40, intensity 19
- hkl 2 2 1, d = 2.204 Å, 2θ 40.95, intensity 13
- hkl 2 2 2, d = 2.019 Å, 2θ 44.90, intensity 13
- hkl 3 1 3, d = 1.872 Å, 2θ 48.65, intensity 10

Atomic structure:
abc: 8.9144 5.4744 10.3545
angles: 90.00 102.67 90.00
Space group C2/c (No. 15)
Asymmetric unit:
As: 0.2500 0.2500 0.0000
I: 0.0000 0.1724 0.2500
O: 0.0945 0.1741 0.0898
O: 0.1566 0.0385 0.8290

[8]
Diffraction record for ZrNi2Mo. The powder X-ray diffraction pattern is simulated, not measured: it uses the GGA-PBE geometry in Alexandria and λ = 1.5418 Å (Cu Kα).
Kinematic intensities with the Lorentz-polarization factor, no thermal factor.

Most intense lines, 2θ from 10° to 90°, in order of rising 2θ:
- hkl 1 1 1, d = 2.244 Å, 2θ 40.18, intensity 100
- hkl 0 0 2, d = 1.972 Å, 2θ 46.04, intensity 17
- hkl 0 2 0, d = 1.965 Å, 2θ 46.19, intensity 16
- hkl 2 0 0, d = 1.897 Å, 2θ 47.96, intensity 15
- hkl 0 2 2, d = 1.392 Å, 2θ 67.27, intensity 10
- hkl 2 0 2, d = 1.367 Å, 2θ 68.66, intensity 10
- hkl 1 1 3, d = 1.184 Å, 2θ 81.23, intensity 12
- hkl 1 3 1, d = 1.182 Å, 2θ 81.46, intensity 12
- hkl 3 1 1, d = 1.151 Å, 2θ 84.07, intensity 11
- hkl 2 2 2, d = 1.122 Å, 2θ 86.78, intensity 10

Atomic structure:
abc: 3.7938 3.9305 3.9431
angles: 90.00 90.00 90.00
Space group Pmmm (No. 47)
Asymmetric unit:
Zr: 0.0000 0.0000 0.0000
Ni: 0.5000 0.0000 0.5000
Ni: 0.5000 0.5000 0.0000
Mo: 0.0000 0.5000 0.5000

[9]
Diffraction record for AlCu3. The powder X-ray diffraction pattern is simulated, not measured: it uses the GGA-PBE geometry in Alexandria and λ = 1.5418 Å (Cu Kα).
Kinematic intensities with the Lorentz-polarization factor, no thermal factor.

Most intense lines, 2θ from 10° to 90°, in order of rising 2θ:
- hkl 1 1 1, d = 2.125 Å, 2θ 42.53, intensity 100
- hkl 4 0 0, d = 2.087 Å, 2θ 43.36, intensity 94
- hkl 3 1 -1, d = 1.983 Å, 2θ 45.75, intensity 81
- hkl 2 0 2, d = 1.594 Å, 2θ 57.84, intensity 19
- hkl 0 2 0, d = 1.426 Å, 2θ 65.46, intensity 13
- hkl 1 1 -3, d = 1.243 Å, 2θ 76.64, intensity 16
- hkl 5 1 1, d = 1.242 Å, 2θ 76.76, intensity 15
- hkl 4 2 0, d = 1.177 Å, 2θ 81.82, intensity 26
- hkl 5 1 -3, d = 1.158 Å, 2θ 83.46, intensity 13
- hkl 7 1 -1, d = 1.157 Å, 2θ 83.59, intensity 12

Atomic structure:
abc: 8.8667 2.8517 4.2211
angles: 90.00 109.88 90.00
Space group C2/m (No. 12)
Asymmetric unit:
Al: 0.0000 0.0000 0.0000
Cu: 0.0000 0.5000 0.5000
Cu: 0.2490 0.0000 0.7484

[10]
Diffraction record for CsNaSnSe3. The powder X-ray diffraction pattern is simulated, not measured: it uses the GGA-PBE geometry in Alexandria and λ = 1.5418 Å (Cu Kα).
Kinematic intensities with the Lorentz-polarization factor, no thermal factor.

Most intense lines, 2θ from 10° to 90°, in order of rising 2θ:
- hkl 0 0 2, d = 4.779 Å, 2θ 18.56, intensity 48
- hkl 1 1 -2, d = 4.429 Å, 2θ 20.05, intensity 100
- hkl 2 2 -1, d = 3.594 Å, 2θ 24.77, intensity 36
- hkl 2 2 0, d = 3.556 Å, 2θ 25.04, intensity 46
- hkl 3 1 0, d = 3.324 Å, 2θ 26.82, intensity 20
- hkl 0 0 3, d = 3.184 Å, 2θ 28.02, intensity 18
- hkl 2 2 1, d = 3.122 Å, 2θ 28.60, intensity 28
- hkl 3 1 -3, d = 2.748 Å, 2θ 32.58, intensity 30
- hkl 0 4 0, d = 2.392 Å, 2θ 37.61, intensity 27
- hkl 2 2 3, d = 2.154 Å, 2θ 41.95, intensity 38

Atomic structure:
abc: 11.2255 9.5683 10.0842
angles: 90.00 108.68 90.00
Space group C2/m (No. 12)
Asymmetric unit:
Cs: 0.1864 0.0000 0.1591
Na: 0.0000 0.2035 0.5000
Sn: 0.0863 0.5000 0.2801
Se: 0.0335 0.2807 0.7908
Se: 0.2081 0.0000 0.5339

[11]
Diffraction record for NaIn3Hg5. The powder X-ray diffraction pattern is simulated, not measured: it uses the GGA-PBE geometry in Alexandria and λ = 1.5418 Å (Cu Kα).
Kinematic intensities with the Lorentz-polarization factor, no thermal factor.

Most intense lines, 2θ from 10° to 90°, in order of rising 2θ:
- hkl 1 0 0, d = 7.849 Å, 2θ 11.27, intensity 16
- hkl 1 1 1, d = 3.742 Å, 2θ 23.78, intensity 13
- hkl 2 1 1, d = 2.708 Å, 2θ 33.08, intensity 16
- hkl 1 1 2, d = 2.676 Å, 2θ 33.48, intensity 100
- hkl 3 0 0, d = 2.616 Å, 2θ 34.27, intensity 100
- hkl 2 2 2, d = 1.871 Å, 2θ 48.67, intensity 32
- hkl 0 0 4, d = 1.658 Å, 2θ 55.40, intensity 12
- hkl 4 1 2, d = 1.522 Å, 2θ 60.87, intensity 29
- hkl 3 3 0, d = 1.510 Å, 2θ 61.38, intensity 14
- hkl 3 0 4, d = 1.401 Å, 2θ 66.79, intensity 29

Atomic structure:
abc: 9.0630 9.0630 6.6334
angles: 90.00 90.00 120.00
Space group P6_3/mcm (No. 193)
Asymmetric unit:
Na: 0.0000 0.0000 0.0000
In: 0.0000 0.3614 0.2500
Hg: 0.0000 0.3052 0.7500
Hg: 0.3333 0.6667 0.0000

[12]
Diffraction record for PmTm12Sc6. The powder X-ray diffraction pattern is simulated, not measured: it uses the GGA-PBE geometry in Alexandria and λ = 1.5418 Å (Cu Kα).
Kinematic intensities with the Lorentz-polarization factor, no thermal factor.

Most intense lines, 2θ from 10° to 90°, in order of rising 2θ:
- hkl 2 2 0, d = 3.658 Å, 2θ 24.33, intensity 20
- hkl 3 0 1, d = 3.272 Å, 2θ 27.26, intensity 22
- hkl 2 2 2, d = 2.987 Å, 2θ 29.92, intensity 100
- hkl 3 1 2, d = 2.765 Å, 2θ 32.38, intensity 96
- hkl 4 0 0, d = 2.586 Å, 2θ 34.68, intensity 53
- hkl 3 3 0, d = 2.438 Å, 2θ 36.86, intensity 18
- hkl 4 2 0, d = 2.313 Å, 2θ 38.93, intensity 21
- hkl 5 3 0, d = 1.774 Å, 2θ 51.51, intensity 26
- hkl 5 2 3, d = 1.678 Å, 2θ 54.69, intensity 35
- hkl 5 3 4, d = 1.463 Å, 2θ 63.59, intensity 22

Atomic structure:
abc: 10.3457 10.3457 10.3457
angles: 90.00 90.00 90.00
Space group Im-3 (No. 204)
Asymmetric unit:
Pm: 0.0000 0.0000 0.0000
Tm: 0.0000 0.2663 0.1957
Sc: 0.0000 0.1379 0.5000

[13]
Diffraction record for Rb2GePbO4. The powder X-ray diffraction pattern is simulated, not measured: it uses the GGA-PBE geometry in Alexandria and λ = 1.5418 Å (Cu Kα).
Kinematic intensities with the Lorentz-polarization factor, no thermal factor.

Most intense lines, 2θ from 10° to 90°, in order of rising 2θ:
- hkl 1 1 0, d = 5.103 Å, 2θ 17.38, intensity 13
- hkl 1 0 1, d = 4.878 Å, 2θ 18.19, intensity 13
- hkl 0 2 0, d = 3.292 Å, 2θ 27.09, intensity 29
- hkl 0 0 2, d = 3.060 Å, 2θ 29.18, intensity 31
- hkl 2 1 1, d = 3.000 Å, 2θ 29.78, intensity 100
- hkl 1 2 1, d = 2.729 Å, 2θ 32.82, intensity 13
- hkl 0 2 2, d = 2.241 Å, 2θ 40.24, intensity 27
- hkl 2 3 1, d = 1.839 Å, 2θ 49.56, intensity 18
- hkl 2 1 3, d = 1.755 Å, 2θ 52.12, intensity 21
- hkl 4 2 2, d = 1.500 Å, 2θ 61.85, intensity 13

Atomic structure:
abc: 8.0756 6.5839 6.1201
angles: 90.00 90.00 90.00
Space group Pmn2_1 (No. 31)
Asymmetric unit:
Rb: 0.2399 0.2378 0.0000
Ge: 0.0000 0.3366 0.5000
Pb: 0.0000 0.7325 0.9996
O: 0.0000 0.5001 0.7383
O: 0.0000 0.5038 0.2646
O: 0.1861 0.1947 0.4990

[14]
Diffraction record for LiYAgAu. The powder X-ray diffraction pattern is simulated, not measured: it uses the GGA-PBE geometry in Alexandria and λ = 1.5418 Å (Cu Kα).
Kinematic intensities with the Lorentz-polarization factor, no thermal factor.

Most intense lines, 2θ from 10° to 90°, in order of rising 2θ:
- hkl 1 1 0, d = 3.841 Å, 2θ 23.15, intensity 58
- hkl 2 0 0, d = 3.448 Å, 2θ 25.84, intensity 23
- hkl 1 1 -1, d = 3.435 Å, 2θ 25.94, intensity 46
- hkl 1 1 1, d = 2.568 Å, 2θ 34.94, intensity 99
- hkl 0 2 0, d = 2.316 Å, 2θ 38.89, intensity 100
- hkl 2 0 1, d = 2.229 Å, 2θ 40.46, intensity 20
- hkl 1 1 -2, d = 2.222 Å, 2θ 40.59, intensity 35
- hkl 2 2 -2, d = 1.717 Å, 2θ 53.35, intensity 19
- hkl 1 3 1, d = 1.380 Å, 2θ 67.94, intensity 19
- hkl 0 2 3, d = 1.249 Å, 2θ 76.21, intensity 17

Atomic structure:
abc: 8.0306 4.6257 5.1898
angles: 90.00 120.83 90.00
Space group Cm (No. 8)
Asymmetric unit:
Li: 0.0000 0.0000 0.0000
Y: 0.4943 0.0000 0.4826
Ag: 0.2704 0.0000 0.8105
Au: 0.2193 0.5000 0.1572